Simulated XRD peak list
Compound: HfTiRePd
Radiation: CuKα
Structure: a DFT-relaxed cell (PBE, Alexandria)
Lines closer than 0.1° are merged.

Largest 10 diffraction maxima, by intensity, 5° ≤ 2θ ≤ 70°:
39.5 deg, rel. 100, hkl 1 1 0
57.1 deg, rel. 17, hkl 2 0 0
13.7 deg, rel. 15, hkl 0 0 1
31.0 deg, rel. 13, hkl 1 0 1
42.0 deg, rel. 6, hkl 0 0 3
59.1 deg, rel. 5, hkl 1 1 3
66.4 deg, rel. 3, hkl 2 1 1
27.7 deg, rel. 2, hkl 1 0 0
51.1 deg, rel. 2, hkl 1 0 3
64.6 deg, rel. 1, hkl 2 1 0

```
data_HfTiRePd
_chemical_formula_sum 'Hf1 Ti1 Re1 Pd1'
_cell_length_a 3.225
_cell_length_b 3.225
_cell_length_c 6.445
_cell_angle_alpha 90.00
_cell_angle_beta 90.00
_cell_angle_gamma 90.00
_space_group_name_H-M_alt 'P 1'
_space_group_IT_number 1
loop_
_space_group_symop_operation_xyz
'x,y,z'
loop_
_atom_site_label
_atom_site_fract_x
_atom_site_fract_y
_atom_site_fract_z
Hf1 0.000 0.000 0.000
Ti1 0.000 0.000 0.475
Re1 0.500 0.500 0.254
Pd1 0.500 0.500 0.731
```